Structure and computed X-ray diffraction stick pattern of V4Ni5Rh2 (a DFT-relaxed cell (PBE, Alexandria); Cu Kα (λ = 1.5418 Å)).

Structure:
```
11
Lattice="-2.0629 3.5379 4.9197 2.0629 -3.5379 4.9197 2.0629 3.5379 -4.9197" Properties=species:S:1:pos:R:3 pbc="T T T"
V 0.0000 0.0000 1.1558
V 2.0629 1.4157 0.0000
V 0.0000 2.1222 4.9197
V 0.0000 0.0000 8.6836
Ni 2.0629 -1.1794 2.5778
Ni 2.0629 1.1794 2.5778
Ni 0.0000 3.5379 0.0000
Ni 0.0000 2.3585 2.3419
Ni 0.0000 4.7173 2.3419
Rh 0.0000 0.0000 3.5532
Rh 0.0000 0.0000 6.2863
```

Peak list (10 most intense, 10 to 90 degrees two-theta, in order of rising 2θ)
5.745 Å, I 30
2.078 Å, I 36
2.063 Å, I 54
2.048 Å, I 67
2.025 Å, I 100
2.020 Å, I 35
1.890 Å, I 22
1.443 Å, I 22
1.183 Å, I 16
1.176 Å, I 20

***

Structure and computed X-ray diffraction stick pattern of RbPa2AgO8 (a DFT-relaxed cell (PBE, Alexandria); Cu Kα (λ = 1.5418 Å)).

Structure:
```
12
Lattice="5.4175 0.0000 0.0000 -2.7088 4.6917 0.0000 0.0000 0.0000 7.9048" Properties=species:S:1:pos:R:3 pbc="T T T"
Rb 0.0000 0.0000 0.0000
Pa 0.0000 3.1278 2.9974
Pa 2.7088 1.5639 4.9074
Ag 0.0000 0.0000 3.9524
O 0.0000 1.7109 4.9670
O -1.2270 3.8362 4.9670
O 0.0000 3.1278 1.1279
O 1.4817 0.8555 2.9378
O 1.2270 3.8362 4.9670
O 2.7088 1.5639 6.7769
O 3.9358 0.8555 2.9378
O 2.7088 2.9808 2.9378
```

Peak list (10 most intense, 10 to 90 degrees two-theta, in order of rising 2θ)
7.905 Å, I 100
4.035 Å, I 68
3.023 Å, I 55
2.709 Å, I 62
2.562 Å, I 24
2.297 Å, I 20
2.249 Å, I 25
2.017 Å, I 29
1.821 Å, I 17
1.618 Å, I 20

***

Structure and computed X-ray diffraction stick pattern of Ti2VGa3 (a DFT-relaxed cell (PBE, Alexandria); Cu Kα (λ = 1.5418 Å)).

Structure:
```
6
Lattice="-1.7964 1.9575 6.7706 1.7964 -1.9575 6.7706 1.7964 1.9575 -6.7706" Properties=species:S:1:pos:R:3 pbc="T T T"
Ti 0.0000 0.0000 2.1828
Ti 0.0000 0.0000 11.3583
V 1.7964 0.0000 0.0000
Ga 0.0000 0.0000 4.8471
Ga 0.0000 1.9575 0.0000
Ga 0.0000 0.0000 8.6940
```

Peak list (10 most intense, 10 to 90 degrees two-theta, in order of rising 2θ)
2.647 Å, I 14
2.465 Å, I 65
2.257 Å, I 30
2.085 Å, I 100
1.957 Å, I 27
1.796 Å, I 20
1.479 Å, I 14
1.324 Å, I 14
1.206 Å, I 16
1.153 Å, I 13